No. 1
Structure and computed powder diffraction line list of LiZnPO4 (a DFT-relaxed cell (PBE, Alexandria); Cu Kα (weighted mean of Kα1 and Kα2)).
Neutral-atom scattering factors, no anomalous dispersion.

The 10 most intense peaks (2θ from 5° to 70°), in order of rising 2θ:
| 2θ (°) | d (Å) | Rel. int. | hkl |
| --- | --- | --- | --- |
| 12.76 | 6.936 | 21 | 1 1 0 |
| 20.62 | 4.306 | 33 | 0 1 2 |
| 21.81 | 4.074 | 100 | 3 -1 1 |
| 22.20 | 4.005 | 25 | 3 0 0 |
| 25.69 | 3.468 | 76 | 2 2 0 |
| 31.83 | 2.811 | 75 | 1 1 3 |
| 34.20 | 2.622 | 71 | 4 1 0 |
| 39.15 | 2.301 | 29 | 2 2 3 |
| 49.31 | 1.848 | 36 | 6 -3 3 |
| 66.11 | 1.413 | 40 | 1 7 3 |

Structure:
Cell: 13.8728 13.8728 9.2259 Å, 90.00 90.00 120.00°
Space group R3 (No. 146, hexagonal axes)
Symmetry-distinct sites (fractional):
Li 0.0119 0.8051 0.0000 x9
Li 0.1410 0.4542 0.1638 x9
Zn 0.0197 0.8072 0.3328 x9
Zn 0.1382 0.4596 0.4976 x9
P 0.0102 0.8020 0.6666 x9
P 0.1370 0.4572 0.8313 x9
O 0.0040 0.6869 0.6645 x9
O 0.0201 0.3506 0.8337 x9
O 0.0699 0.8666 0.8061 x9
O 0.0734 0.8705 0.5296 x9
O 0.1067 0.2138 0.1646 x9
O 0.2009 0.4613 0.6907 x9
O 0.2045 0.4601 0.9677 x9
O 0.2179 0.1070 0.6663 x9



No. 2
Structure and computed powder diffraction line list of LiZr2P3O12 (a DFT-relaxed cell (PBE, Alexandria); Cu Kα (weighted mean of Kα1 and Kα2)).
Neutral-atom scattering factors, no anomalous dispersion.

The 10 most intense peaks (2θ from 5° to 70°), in order of rising 2θ:
| 2θ (°) | d (Å) | Rel. int. | hkl |
| --- | --- | --- | --- |
| 13.95 | 6.349 | 34 | 0 1 2 |
| 19.67 | 4.512 | 100 | 1 0 4 |
| 19.87 | 4.467 | 81 | 1 1 0 |
| 23.25 | 3.825 | 91 | 1 1 3 |
| 28.11 | 3.175 | 57 | 0 2 4 |
| 31.38 | 2.851 | 55 | 1 1 6 |
| 34.66 | 2.588 | 40 | 2 1 4 |
| 34.78 | 2.579 | 37 | 3 0 0 |
| 45.01 | 2.014 | 26 | 1 2 8 |
| 54.30 | 1.689 | 42 | 4 1 0 |

Structure:
Cell: 8.9347 8.9347 22.2185 Å, 90.00 90.00 120.00°
Space group R-3c (No. 167, hexagonal axes)
Symmetry-distinct sites (fractional):
Li 0.0000 0.0000 0.0000 x6
Zr 0.0000 0.0000 0.1429 x12
P 0.0000 0.2939 0.2500 x18
O 0.0005 0.1944 0.3067 x36
O 0.0206 0.1909 0.9196 x36



No. 3
Structure and computed powder diffraction line list of LiZr2P3O12 (a DFT-relaxed cell (PBE, Alexandria); Cu Kα (weighted mean of Kα1 and Kα2)).
Neutral-atom scattering factors, no anomalous dispersion.

The 10 most intense peaks (2θ from 5° to 70°), in order of rising 2θ:
| 2θ (°) | d (Å) | Rel. int. | hkl |
| --- | --- | --- | --- |
| 13.65 | 6.485 | 27 | 0 1 0 |
| 13.76 | 6.438 | 23 | 1 0 -1 |
| 19.17 | 4.630 | 100 | 1 0 1 |
| 19.94 | 4.454 | 26 | 1 -2 1 |
| 20.05 | 4.428 | 24 | 2 -1 0 |
| 22.85 | 3.892 | 26 | 1 1 0 |
| 23.13 | 3.845 | 29 | -2 1 1 |
| 27.51 | 3.243 | 27 | 0 2 0 |
| 27.71 | 3.219 | 23 | 2 0 -2 |
| 30.62 | 2.920 | 24 | 1 1 -3 |

Structure:
Cell: 8.8576 8.9093 9.2635 Å, 118.60 90.69 119.02°
Space group P-1 (No. 2)
Symmetry-distinct sites (fractional):
Li 0.2403 0.1928 0.3890 x2
Zr 0.1425 0.7824 0.4286 x2
Zr 0.3647 0.2092 0.0635 x2
P 0.0318 0.2738 0.2528 x2
P 0.2529 0.2827 0.7388 x2
P 0.4571 0.9929 0.2455 x2
O 0.0199 0.2364 0.4017 x2
O 0.0534 0.4785 0.3116 x2
O 0.0750 0.2752 0.7294 x2
O 0.1362 0.9038 0.9081 x2
O 0.2063 0.2855 0.2163 x2
O 0.2310 0.1075 0.5608 x2
O 0.2958 0.2621 0.8873 x2
O 0.3051 0.8429 0.2806 x2
O 0.3594 0.8763 0.6129 x2
O 0.4051 0.1380 0.2483 x2
O 0.4105 0.4877 0.7696 x2
O 0.4709 0.8692 0.0664 x2



No. 4
Structure and computed powder diffraction line list of LiZr2P3O12 (a DFT-relaxed cell (PBE, Alexandria); Cu Kα (weighted mean of Kα1 and Kα2)).
Neutral-atom scattering factors, no anomalous dispersion.

The 10 most intense peaks (2θ from 5° to 70°), in order of rising 2θ:
| 2θ (°) | d (Å) | Rel. int. | hkl |
| --- | --- | --- | --- |
| 13.74 | 6.446 | 43 | 1 1 -1 |
| 19.47 | 4.560 | 65 | 2 0 -2 |
| 19.58 | 4.535 | 100 | 1 1 1 |
| 19.75 | 4.496 | 73 | 3 1 -1 |
| 22.91 | 3.883 | 40 | 0 2 1 |
| 22.97 | 3.872 | 37 | 3 1 -2 |
| 23.25 | 3.826 | 40 | 3 1 0 |
| 27.68 | 3.223 | 67 | 2 2 -2 |
| 31.00 | 2.885 | 43 | 3 1 -3 |
| 34.28 | 2.616 | 52 | 3 3 -1 |

Structure:
Cell: 15.5154 9.0988 9.1342 Å, 90.00 125.36 90.00°
Space group Cc (No. 9)
Symmetry-distinct sites (fractional):
Li 0.0000 0.0738 0.0000 x4
Zr 0.1354 0.2576 0.3663 x4
Zr 0.3566 0.2434 0.0222 x4
P 0.1022 0.3970 0.6842 x4
P 0.2405 0.0331 0.1870 x4
P 0.3931 0.4005 0.7018 x4
O 0.0123 0.3279 0.6867 x4
O 0.0863 0.3609 0.5049 x4
O 0.0997 0.4345 0.2000 x4
O 0.1592 0.1250 0.1965 x4
O 0.1747 0.0671 0.5218 x4
O 0.2094 0.3362 0.8420 x4
O 0.2866 0.3397 0.5450 x4
O 0.3110 0.1381 0.1670 x4
O 0.3116 0.0601 0.8575 x4
O 0.4011 0.4292 0.1978 x4
O 0.4145 0.3680 0.8866 x4
O 0.4796 0.3346 0.6847 x4



Copy entry 3 word for word.
Structure and computed powder diffraction line list of LiZr2P3O12 (a DFT-relaxed cell (PBE, Alexandria); Cu Kα (weighted mean of Kα1 and Kα2)).
Neutral-atom scattering factors, no anomalous dispersion.

The 10 most intense peaks (2θ from 5° to 70°), in order of rising 2θ:
| 2θ (°) | d (Å) | Rel. int. | hkl |
| --- | --- | --- | --- |
| 13.65 | 6.485 | 27 | 0 1 0 |
| 13.76 | 6.438 | 23 | 1 0 -1 |
| 19.17 | 4.630 | 100 | 1 0 1 |
| 19.94 | 4.454 | 26 | 1 -2 1 |
| 20.05 | 4.428 | 24 | 2 -1 0 |
| 22.85 | 3.892 | 26 | 1 1 0 |
| 23.13 | 3.845 | 29 | -2 1 1 |
| 27.51 | 3.243 | 27 | 0 2 0 |
| 27.71 | 3.219 | 23 | 2 0 -2 |
| 30.62 | 2.920 | 24 | 1 1 -3 |

Structure:
Cell: 8.8576 8.9093 9.2635 Å, 118.60 90.69 119.02°
Space group P-1 (No. 2)
Symmetry-distinct sites (fractional):
Li 0.2403 0.1928 0.3890 x2
Zr 0.1425 0.7824 0.4286 x2
Zr 0.3647 0.2092 0.0635 x2
P 0.0318 0.2738 0.2528 x2
P 0.2529 0.2827 0.7388 x2
P 0.4571 0.9929 0.2455 x2
O 0.0199 0.2364 0.4017 x2
O 0.0534 0.4785 0.3116 x2
O 0.0750 0.2752 0.7294 x2
O 0.1362 0.9038 0.9081 x2
O 0.2063 0.2855 0.2163 x2
O 0.2310 0.1075 0.5608 x2
O 0.2958 0.2621 0.8873 x2
O 0.3051 0.8429 0.2806 x2
O 0.3594 0.8763 0.6129 x2
O 0.4051 0.1380 0.2483 x2
O 0.4105 0.4877 0.7696 x2
O 0.4709 0.8692 0.0664 x2